# 1
Theoretical powder diffractogram
Compound: Pm2Nd3Tm3
Radiation: CuKα
Structure: a DFT-relaxed cell (PBE, Alexandria)
Kinematic intensities with the Lorentz-polarization factor, no thermal factor.

Structural model:
```
Pm2Nd3Tm3
1.0
5.0682 0.0000 0.0000
0.0000 5.1105 0.0000
0.0000 0.0000 20.3758
Pm Nd Tm
4 6 6
Direct
0.0000 0.0000 0.2494
0.0000 0.0000 0.7506
0.5000 0.5000 0.2506
0.5000 0.5000 0.7494
0.0000 0.0000 0.0000
0.0000 0.5000 0.1231
0.0000 0.5000 0.8769
0.5000 0.0000 0.3769
0.5000 0.0000 0.6231
0.5000 0.5000 0.5000
0.0000 0.0000 0.5000
0.0000 0.5000 0.3754
0.0000 0.5000 0.6246
0.5000 0.0000 0.1246
0.5000 0.0000 0.8754
0.5000 0.5000 0.0000
```

The 10 most intense peaks (2θ from 10° to 90°), by angle:
- 30.41 deg, d 2.939, I = 100
- 35.12 deg, d 2.555, I = 17
- 35.24 deg, d 2.547, I = 17
- 35.42 deg, d 2.534, I = 17
- 50.60 deg, d 1.804, I = 12
- 50.78 deg, d 1.798, I = 24
- 60.11 deg, d 1.539, I = 14
- 60.27 deg, d 1.536, I = 14
- 60.51 deg, d 1.530, I = 14
- 63.28 deg, d 1.470, I = 12

***

# 2
Theoretical powder diffractogram
Compound: Ba3ZnGa3
Radiation: CuKα
Structure: a DFT-relaxed cell (PBE, Alexandria)
Kinematic intensities with the Lorentz-polarization factor, no thermal factor.

Structural model:
```
Ba3ZnGa3
1.0
6.5525 -2.2288 0.0000
6.5525 2.2288 0.0000
-5.3454 0.0000 15.5107
Ba Zn Ga
6 2 6
Direct
0.0127 0.0127 0.3882
0.1151 0.1151 0.9230
0.2397 0.2397 0.2331
0.7603 0.7603 0.7669
0.8849 0.8849 0.0770
0.9872 0.9872 0.6118
0.2883 0.2883 0.6164
0.7117 0.7117 0.3836
0.3077 0.3077 0.4629
0.4116 0.4116 0.9233
0.4632 0.4632 0.7705
0.5368 0.5368 0.2295
0.5884 0.5884 0.0767
0.6923 0.6923 0.5371
```

The 10 most intense peaks (2θ from 10° to 90°), by angle:
- 28.64 deg, d 3.117, I = 100
- 28.84 deg, d 3.095, I = 60
- 29.60 deg, d 3.018, I = 64
- 32.88 deg, d 2.724, I = 22
- 33.57 deg, d 2.670, I = 34
- 34.25 deg, d 2.618, I = 40
- 34.70 deg, d 2.585, I = 25
- 40.47 deg, d 2.229, I = 41
- 46.64 deg, d 1.947, I = 27
- 53.06 deg, d 1.726, I = 23

***

# 3
Theoretical powder diffractogram
Compound: Pd13Pb2
Radiation: CuKα
Structure: a DFT-relaxed cell (PBE, Alexandria)
Kinematic intensities with the Lorentz-polarization factor, no thermal factor.

Structural model:
```
Pd13Pb2
1.0
3.6879 2.1292 6.6827
-3.6879 2.1292 6.6827
0.0000 -4.2584 6.6827
Pd Pb
13 2
Direct
0.0000 0.0000 0.0000
0.0183 0.0183 0.6455
0.0183 0.6455 0.0183
0.2337 0.2337 0.6017
0.2337 0.6017 0.2337
0.3545 0.9817 0.9817
0.3983 0.7663 0.7663
0.6017 0.2337 0.2337
0.6455 0.0183 0.0183
0.7663 0.3983 0.7663
0.7663 0.7663 0.3983
0.9817 0.3545 0.9817
0.9817 0.9817 0.3545
0.2331 0.2331 0.2331
0.7669 0.7669 0.7669
```

The 10 most intense peaks (2θ from 10° to 90°), by angle:
- 14.55 deg, d 6.086, I = 53
- 16.46 deg, d 5.387, I = 31
- 28.30 deg, d 3.154, I = 25
- 34.31 deg, d 2.613, I = 22
- 37.52 deg, d 2.397, I = 30
- 38.59 deg, d 2.333, I = 36
- 41.52 deg, d 2.175, I = 100
- 43.77 deg, d 2.068, I = 46
- 44.67 deg, d 2.029, I = 32
- 49.42 deg, d 1.844, I = 21

***

# 4
Theoretical powder diffractogram
Compound: Y9Ho3Er2
Radiation: CuKα
Structure: a DFT-relaxed cell (PBE, Alexandria)
Kinematic intensities with the Lorentz-polarization factor, no thermal factor.

Structural model:
```
Y9Ho3Er2
1.0
5.2911 0.0000 0.0000
0.0006 6.8949 0.0000
0.0700 0.0938 12.8589
Y Ho Er
9 3 2
Direct
0.0000 0.0000 0.0000
0.0021 0.2546 0.2550
0.4925 0.7497 0.1535
0.4984 0.9843 0.6292
0.4989 0.5148 0.6282
0.5011 0.4852 0.3718
0.5016 0.0157 0.3708
0.5075 0.2503 0.8465
0.9979 0.7454 0.7450
0.0000 0.5000 0.0000
0.0007 0.7502 0.4730
0.9993 0.2498 0.5270
0.4991 0.7480 0.8955
0.5009 0.2520 0.1045
```

The 10 most intense peaks (2θ from 10° to 90°), by angle:
- 13.77 deg, d 6.429, I = 24
- 29.79 deg, d 2.999, I = 21
- 31.73 deg, d 2.820, I = 100
- 31.81 deg, d 2.813, I = 32
- 32.51 deg, d 2.754, I = 48
- 32.67 deg, d 2.741, I = 46
- 33.23 deg, d 2.696, I = 24
- 33.48 deg, d 2.677, I = 24
- 33.88 deg, d 2.645, I = 53
- 48.28 deg, d 1.885, I = 20

***

# 5
Theoretical powder diffractogram
Compound: SrNiH8Pt2
Radiation: CuKα
Structure: a DFT-relaxed cell (PBE, Alexandria)
Kinematic intensities with the Lorentz-polarization factor, no thermal factor.

Structural model:
```
SrNiH8Pt2
1.0
2.3759 1.3717 5.8344
-2.3759 1.3717 5.8344
0.0000 -2.7434 5.8344
Sr Ni H Pt
1 1 8 2
Direct
0.0000 0.0000 0.0000
0.5000 0.5000 0.5000
0.1599 0.4389 0.7417
0.2583 0.8401 0.5611
0.3087 0.3087 0.3087
0.4389 0.7417 0.1599
0.5611 0.2583 0.8401
0.6913 0.6913 0.6913
0.7417 0.1599 0.4389
0.8401 0.5611 0.2583
0.2158 0.2158 0.2158
0.7842 0.7842 0.7842
```

The 10 most intense peaks (2θ from 10° to 90°), by angle:
- 15.19 deg, d 5.834, I = 44
- 23.90 deg, d 3.724, I = 39
- 29.80 deg, d 2.998, I = 100
- 33.61 deg, d 2.666, I = 57
- 37.87 deg, d 2.376, I = 93
- 41.02 deg, d 2.200, I = 21
- 42.29 deg, d 2.137, I = 30
- 48.92 deg, d 1.862, I = 25
- 61.63 deg, d 1.505, I = 23
- 63.48 deg, d 1.466, I = 23

***

# 6
Theoretical powder diffractogram
Compound: Hf2Ga4Fe5
Radiation: CuKα
Structure: a DFT-relaxed cell (PBE, Alexandria)
Kinematic intensities with the Lorentz-polarization factor, no thermal factor.

Structural model:
```
Hf2Ga4Fe5
1.0
0.0000 4.2051 8.0366
2.5280 0.0000 8.0366
2.5280 4.2051 0.0000
Hf Ga Fe
2 4 5
Direct
0.0957 0.0957 0.9043
0.9043 0.9043 0.0957
0.2091 0.5316 0.4684
0.4684 0.7909 0.2091
0.5316 0.2091 0.7909
0.7909 0.4684 0.5316
0.0000 0.0000 0.5000
0.2500 0.2500 0.2500
0.5000 0.5000 0.0000
0.5000 0.5000 0.5000
0.7500 0.7500 0.7500
```

The 10 most intense peaks (2θ from 10° to 90°), by angle:
- 11.01 deg, d 8.037, I = 70
- 30.78 deg, d 2.905, I = 43
- 34.75 deg, d 2.582, I = 63
- 35.51 deg, d 2.528, I = 33
- 37.09 deg, d 2.424, I = 100
- 40.46 deg, d 2.229, I = 56
- 41.69 deg, d 2.167, I = 51
- 42.23 deg, d 2.140, I = 99
- 44.66 deg, d 2.029, I = 41
- 46.59 deg, d 1.949, I = 95

***

# 7
Theoretical powder diffractogram
Compound: Mg6CoMo
Radiation: CuKα
Structure: a DFT-relaxed cell (PBE, Alexandria)
Kinematic intensities with the Lorentz-polarization factor, no thermal factor.

Structural model:
```
Mg6CoMo
1.0
4.6789 0.0000 0.0000
0.0000 5.8600 0.0000
0.0000 0.0000 10.8785
Mg Co Mo
12 2 2
Direct
0.0000 0.0000 0.0000
0.0000 0.2379 0.2566
0.0000 0.2621 0.7566
0.0000 0.5000 0.5000
0.0000 0.7379 0.7566
0.0000 0.7621 0.2566
0.5000 0.0000 0.8443
0.5000 0.2426 0.5960
0.5000 0.2574 0.0960
0.5000 0.5000 0.3443
0.5000 0.7426 0.0960
0.5000 0.7574 0.5960
0.0000 0.0000 0.4746
0.0000 0.5000 0.9746
0.5000 0.0000 0.3653
0.5000 0.5000 0.8653
```

The 10 most intense peaks (2θ from 10° to 90°), by angle:
- 16.30 deg, d 5.439, I = 46
- 17.19 deg, d 5.159, I = 94
- 34.80 deg, d 2.578, I = 80
- 38.28 deg, d 2.351, I = 92
- 38.48 deg, d 2.339, I = 51
- 39.91 deg, d 2.259, I = 100
- 42.42 deg, d 2.131, I = 18
- 52.83 deg, d 1.733, I = 34
- 63.52 deg, d 1.465, I = 22
- 76.63 deg, d 1.243, I = 21

***

# 8
Theoretical powder diffractogram
Compound: LiZn2As
Radiation: CuKα
Structure: a DFT-relaxed cell (PBE, Alexandria)
Kinematic intensities with the Lorentz-polarization factor, no thermal factor.

Structural model:
```
LiZn2As
1.0
3.9798 0.0000 0.0000
0.0000 3.9798 0.0000
0.0000 0.0000 8.1290
Li Zn As
2 4 2
Direct
0.0000 0.0000 0.0000
0.5000 0.5000 0.5000
0.0000 0.0000 0.5000
0.0000 0.5000 0.7500
0.5000 0.0000 0.2500
0.5000 0.5000 0.0000
0.0000 0.5000 0.2500
0.5000 0.0000 0.7500
```

The 10 most intense peaks (2θ from 10° to 90°), by angle:
- 21.87 deg, d 4.064, I = 12
- 24.91 deg, d 3.574, I = 28
- 38.93 deg, d 2.314, I = 100
- 44.59 deg, d 2.032, I = 17
- 45.59 deg, d 1.990, I = 32
- 65.67 deg, d 1.422, I = 20
- 66.45 deg, d 1.407, I = 10
- 78.33 deg, d 1.221, I = 12
- 79.77 deg, d 1.202, I = 23
- 83.58 deg, d 1.157, I = 10

***

# 9
Theoretical powder diffractogram
Compound: Th2NpRh9
Radiation: CuKα
Structure: a DFT-relaxed cell (PBE, Alexandria)
Kinematic intensities with the Lorentz-polarization factor, no thermal factor.

Structural model:
```
Th2NpRh9
1.0
4.0987 0.0000 0.0000
0.0000 4.0987 0.0000
0.0000 0.0000 12.2781
Th Np Rh
2 1 9
Direct
0.0000 0.0000 0.1683
0.0000 0.0000 0.8317
0.0000 0.0000 0.5000
0.0000 0.5000 0.0000
0.0000 0.5000 0.3459
0.0000 0.5000 0.6541
0.5000 0.0000 0.0000
0.5000 0.0000 0.3459
0.5000 0.0000 0.6541
0.5000 0.5000 0.1713
0.5000 0.5000 0.5000
0.5000 0.5000 0.8287
```

The 10 most intense peaks (2θ from 10° to 90°), by angle:
- 21.69 deg, d 4.097, I = 15
- 30.87 deg, d 2.897, I = 13
- 38.04 deg, d 2.365, I = 100
- 44.22 deg, d 2.048, I = 49
- 49.77 deg, d 1.832, I = 8
- 54.90 deg, d 1.672, I = 6
- 64.32 deg, d 1.448, I = 31
- 68.74 deg, d 1.366, I = 4
- 77.23 deg, d 1.235, I = 36
- 81.37 deg, d 1.183, I = 11

***

# 10
Theoretical powder diffractogram
Compound: Na2TiSe4
Radiation: CuKα
Structure: a DFT-relaxed cell (PBE, Alexandria)
Kinematic intensities with the Lorentz-polarization factor, no thermal factor.

Structural model:
```
Na2TiSe4
1.0
6.7985 0.0000 0.0000
0.0000 3.7835 0.0000
-3.0239 0.0000 7.1398
Na Ti Se
2 1 4
Direct
0.2056 0.0000 0.3536
0.7944 0.0000 0.6464
0.5000 0.5000 0.0000
0.0845 0.5000 0.8889
0.4354 0.0000 0.7572
0.5646 0.0000 0.2428
0.9155 0.5000 0.1111
```

The 10 most intense peaks (2θ from 10° to 90°), by angle:
- 12.40 deg, d 7.140, I = 100
- 26.25 deg, d 3.395, I = 26
- 26.66 deg, d 3.343, I = 55
- 27.55 deg, d 3.238, I = 67
- 33.40 deg, d 2.683, I = 56
- 34.54 deg, d 2.597, I = 45
- 42.35 deg, d 2.134, I = 37
- 43.04 deg, d 2.101, I = 36
- 47.53 deg, d 1.913, I = 24
- 48.10 deg, d 1.892, I = 24

***

# 11
Theoretical powder diffractogram
Compound: Sr5Tl2Br12
Radiation: CuKα
Structure: a DFT-relaxed cell (PBE, Alexandria)
Kinematic intensities with the Lorentz-polarization factor, no thermal factor.

Structural model:
```
Sr5Tl2Br12
1.0
8.4504 -4.3287 0.0000
8.4504 4.3287 0.0000
-4.4727 0.0000 10.0045
Sr Tl Br
5 2 12
Direct
0.0000 0.0000 0.0000
0.2814 0.2814 0.5444
0.2973 0.2973 0.1208
0.7027 0.7027 0.8792
0.7186 0.7186 0.4556
0.2110 0.7890 0.5000
0.7890 0.2110 0.5000
0.0576 0.5301 0.3451
0.0873 0.6413 0.0157
0.0912 0.0912 0.3160
0.3587 0.9127 0.9843
0.4699 0.9424 0.6549
0.4832 0.4832 0.6793
0.5168 0.5168 0.3207
0.5301 0.0576 0.3451
0.6413 0.0873 0.0157
0.9088 0.9088 0.6840
0.9127 0.3587 0.9843
0.9424 0.4699 0.6549
```

The 10 most intense peaks (2θ from 10° to 90°), by angle:
- 17.73 deg, d 5.002, I = 50
- 23.47 deg, d 3.791, I = 42
- 26.59 deg, d 3.352, I = 94
- 27.26 deg, d 3.271, I = 47
- 27.98 deg, d 3.189, I = 72
- 32.06 deg, d 2.792, I = 100
- 34.96 deg, d 2.567, I = 57
- 38.30 deg, d 2.350, I = 41
- 39.47 deg, d 2.283, I = 43
- 41.73 deg, d 2.165, I = 42

***

# 12
Theoretical powder diffractogram
Compound: BaPd12Pb6
Radiation: CuKα
Structure: a DFT-relaxed cell (PBE, Alexandria)
Kinematic intensities with the Lorentz-polarization factor, no thermal factor.

Structural model:
```
BaPd12Pb6
1.0
6.0938 3.5182 3.1631
-6.0938 3.5182 3.1631
0.0000 -7.0365 3.1631
Ba Pd Pb
1 12 6
Direct
0.0000 0.0000 0.0000
0.1129 0.5000 0.8871
0.1129 0.8871 0.5000
0.1290 0.3820 0.3820
0.3820 0.1290 0.3820
0.3820 0.3820 0.1290
0.5000 0.1129 0.8871
0.5000 0.8871 0.1129
0.6180 0.6180 0.8710
0.6180 0.8710 0.6180
0.8710 0.6180 0.6180
0.8871 0.1129 0.5000
0.8871 0.5000 0.1129
0.2746 0.2746 0.6989
0.2746 0.6989 0.2746
0.3011 0.7254 0.7254
0.6989 0.2746 0.2746
0.7254 0.3011 0.7254
0.7254 0.7254 0.3011
```

The 10 most intense peaks (2θ from 10° to 90°), by angle:
- 24.20 deg, d 3.678, I = 51
- 25.24 deg, d 3.528, I = 47
- 29.28 deg, d 3.050, I = 63
- 32.00 deg, d 2.797, I = 50
- 38.26 deg, d 2.352, I = 87
- 38.36 deg, d 2.346, I = 100
- 41.75 deg, d 2.164, I = 85
- 41.89 deg, d 2.157, I = 46
- 47.12 deg, d 1.929, I = 62
- 62.30 deg, d 1.490, I = 43

***

# 13
Theoretical powder diffractogram
Compound: CsPb2F4
Radiation: CuKα
Structure: a DFT-relaxed cell (PBE, Alexandria)
Kinematic intensities with the Lorentz-polarization factor, no thermal factor.

Structural model:
```
CsPb2F4
1.0
7.2390 0.0000 0.0000
3.6128 6.7672 0.0000
0.1383 4.2358 7.0695
Cs Pb F
2 4 8
Direct
0.0000 0.0000 0.0000
0.3051 0.4204 0.7880
0.1325 0.2360 0.3789
0.5927 0.7705 0.8635
0.6213 0.7332 0.3914
0.6943 0.1786 0.3894
0.1963 0.1498 0.6903
0.3116 0.0542 0.1645
0.3689 0.8120 0.5751
0.4546 0.5469 0.3374
0.6403 0.3830 0.0425
0.6829 0.0668 0.7185
0.8255 0.6821 0.1406
0.8378 0.6175 0.7207
```

The 10 most intense peaks (2θ from 10° to 90°), by angle:
- 25.20 deg, d 3.534, I = 100
- 25.99 deg, d 3.429, I = 45
- 26.23 deg, d 3.397, I = 39
- 26.97 deg, d 3.305, I = 38
- 27.98 deg, d 3.189, I = 71
- 28.29 deg, d 3.155, I = 35
- 29.23 deg, d 3.056, I = 48
- 44.22 deg, d 2.048, I = 52
- 44.45 deg, d 2.038, I = 46
- 47.52 deg, d 1.913, I = 39